For PmPrOs4, a structure optimized by DFT (PBE) gives the calculated XRD peak list in this record (copper Kα).
Lines closer than 0.1° are merged.

The 10 most intense peaks (2θ = 10–90°), low angle first:
Position (°2θ)	I (rel.)	index
19.97	15	1 1 1
32.90	20	2 2 0
38.79	100	3 1 1
40.59	49	2 2 2
47.22	9	4 0 0
58.75	7	4 2 2
62.70	33	5 1 1
69.00	30	4 4 0
82.07	12	5 3 3
83.23	19	6 2 2

Structural model:
```
data_PmPrOs4
_space_group_name_H-M_alt 'F -4 3 m'
_space_group_IT_number 216
_space_group_name_Hall 'F -4 2 3'
_cell_length_a 7.6997
_cell_length_b 7.6997
_cell_length_c 7.6997
_cell_angle_alpha 90.00
_cell_angle_beta 90.00
_cell_angle_gamma 90.00
loop_
_atom_site_label
_atom_site_fract_x
_atom_site_fract_y
_atom_site_fract_z
Pm1 0.0000 0.0000 0.0000
Pr1 0.2500 0.2500 0.2500
Os1 0.1251 0.1251 0.6251
```